Entry 1:
TlCdCu3Se4: theoretical powder diffractogram (λ = 1.5418 Å (Cu Kα)), based on a DFT-relaxed cell (GGA-PBE, the Materials Project).
No peak broadening, texture or thermal motion is included.

Structure:
Cell: 6.0747 6.0747 6.0747 Å, 90.00 90.00 90.00°
Space group P-43m (No. 215)
Unique sites:
Tl 0.0000 0.0000 0.0000 [1 per cell]
Cd 0.5000 0.5000 0.5000 [1 per cell]
Cu 0.0000 0.0000 0.5000 [3 per cell]
Se 0.2527 0.2527 0.2527 [4 per cell]

The 10 most intense peaks (2θ = 10–90°), by intensity:
42.07°, rel. 100, (2 2 0)
20.68°, rel. 53, (1 1 0)
25.40°, rel. 44, (1 1 1)
76.88°, rel. 32, (4 2 2)
36.22°, rel. 26, (2 1 1)
14.58°, rel. 21, (1 0 0)
49.78°, rel. 20, (3 1 1)
61.01°, rel. 16, (4 0 0)
56.70°, rel. 15, (3 2 1)
32.97°, rel. 14, (2 1 0)



Entry 2:
VCdCu3Se4: theoretical powder diffractogram (λ = 1.5418 Å (Cu Kα)), based on a DFT-relaxed cell (GGA-PBE, the Materials Project).
No peak broadening, texture or thermal motion is included.

Structure:
Cell: 5.8720 5.8720 5.8720 Å, 90.00 90.00 90.00°
Space group P-43m (No. 215)
Unique sites:
V 0.0000 0.0000 0.0000 [1 per cell]
Cd 0.5000 0.5000 0.5000 [1 per cell]
Cu 0.0000 0.0000 0.5000 [3 per cell]
Se 0.2325 0.2325 0.2325 [4 per cell]

The 10 most intense peaks (2θ = 10–90°), by intensity:
26.29°, rel. 100, (1 1 1)
43.60°, rel. 99, (2 2 0)
51.63°, rel. 43, (3 1 1)
80.06°, rel. 28, (4 2 2)
69.82°, rel. 16, (3 3 1)
63.36°, rel. 15, (4 0 0)
21.40°, rel. 15, (1 1 0)
86.03°, rel. 12, (3 3 3)
37.52°, rel. 9, (2 1 1)
58.84°, rel. 5, (3 2 1)



Entry 3:
YCdCu3Se4: theoretical powder diffractogram (λ = 1.5418 Å (Cu Kα)), based on a DFT-relaxed cell (GGA-PBE, the Materials Project).
No peak broadening, texture or thermal motion is included.

Structure:
Cell: 6.0588 6.0588 6.0588 Å, 90.00 90.00 90.00°
Space group P-43m (No. 215)
Unique sites:
Y 0.0000 0.0000 0.0000 [1 per cell]
Cd 0.5000 0.5000 0.5000 [1 per cell]
Cu 0.0000 0.0000 0.5000 [3 per cell]
Se 0.2503 0.2503 0.2503 [4 per cell]

The 10 most intense peaks (2θ = 10–90°), by intensity:
42.19°, rel. 100, (2 2 0)
25.46°, rel. 76, (1 1 1)
49.92°, rel. 35, (3 1 1)
77.12°, rel. 32, (4 2 2)
20.73°, rel. 23, (1 1 0)
61.19°, rel. 16, (4 0 0)
67.37°, rel. 14, (3 3 1)
36.32°, rel. 11, (2 1 1)
82.78°, rel. 10, (5 1 1)
56.86°, rel. 6, (3 2 1)